Simulated powder X-ray diffraction pattern of CaTmIn for Cu Kα (λ = 1.5418 Å), from DFT lattice parameters and positions (GGA-PBE).
Lines closer than 0.1° are merged.

Structure:
a b c (Å): 5.377 5.377 6.871
angles (deg): 90.00 90.00 120.00
Element x y z (fractional)
Ca: 0.000 0.000 0.000
Ca: 0.000 0.000 0.500
Tm: 0.333 0.667 0.250
Tm: 0.667 0.333 0.750
In: 0.333 0.667 0.750
In: 0.667 0.333 0.250

The 10 most intense peaks (10° ≤ 2θ ≤ 90°), in order of rising 2θ:
d = 4.656 Å, 2θ 19.06, I = 36, (1 0 0)
d = 3.435 Å, 2θ 25.94, I = 35, (0 0 2)
d = 2.764 Å, 2θ 32.39, I = 69, (1 0 2)
d = 2.688 Å, 2θ 33.33, I = 100, (1 1 0)
d = 2.117 Å, 2θ 42.71, I = 56, (1 1 2)
d = 1.927 Å, 2θ 47.16, I = 24, (2 0 2)
d = 1.566 Å, 2θ 58.97, I = 24, (2 1 2)
d = 1.552 Å, 2θ 59.56, I = 18, (3 0 0)
d = 1.447 Å, 2θ 64.36, I = 29, (1 1 4)
d = 1.414 Å, 2θ 66.05, I = 15, (3 0 2)